Record 1
This entry pairs a crystal structure of PuHfS3 with its calculated powder diffraction line list. Radiation: CuKα. Structure: a crystal structure in Alexandria, relaxed with GGA-PBE.

Largest 12 diffraction maxima, low angle first, 10 to 90 degrees two-theta:
d/Å	Position (°2θ)	I_rel	index
3.971	22.39	48.4	2 0 1
3.906	22.77	90.0	1 0 3
3.526	25.26	38.2	2 0 2
3.302	27.00	62.3	1 1 1
3.082	28.97	37.1	1 0 4
3.032	29.46	74.1	1 1 2
2.721	32.92	100.0	2 1 1
2.564	35.00	99.8	2 1 2
2.164	41.74	53.3	0 1 5
1.869	48.73	30.2	0 2 0
1.850	49.27	40.3	3 1 4
1.818	50.17	31.2	4 1 0

Structure:
Cell: 8.324 3.738 13.270 Å, 90.00 90.00 90.00°
Space group Pnma (No. 62)
One atom of each set of equivalent atoms:
Pu: 0.056 0.250 0.177 x4
Hf: 0.174 0.750 0.447 x4
S: 0.016 0.750 0.612 x4
S: 0.153 0.750 0.019 x4
S: 0.204 0.250 0.777 x4

Record 2
This entry pairs a crystal structure of Zr6TcOs with its calculated powder diffraction line list. Radiation: CuKα. Structure: a crystal structure in Alexandria, relaxed with GGA-PBE.

Largest 12 diffraction maxima, low angle first, 10 to 90 degrees two-theta:
d/Å	Position (°2θ)	I_rel	index
7.469	11.85	17.4	0 0 2
4.463	19.89	4.5	1 0 1
2.476	36.29	100.0	1 1 4
2.338	38.50	46.0	2 0 0
1.989	45.61	8.4	1 1 6
1.867	48.77	8.3	0 0 8
1.653	55.58	15.5	2 2 0
1.459	63.79	14.5	2 0 8
1.375	68.20	30.4	3 1 4
1.238	77.04	8.3	2 2 8
1.169	82.50	4.9	4 0 0
1.165	82.86	4.5	1 1 12

Structure:
Cell: 4.677 4.677 14.938 Å, 90.00 90.00 90.00°
Space group I4/mmm (No. 139)
One atom of each set of equivalent atoms:
Zr: 0.000 0.000 0.249 x4
Zr: 0.000 0.500 0.108 x8
Tc: 0.000 0.000 0.000 x2
Os: 0.000 0.000 0.500 x2

Record 3
This entry pairs a crystal structure of LiCa3Ga with its calculated powder diffraction line list. Radiation: CuKα. Structure: a crystal structure in Alexandria, relaxed with GGA-PBE.

Largest 12 diffraction maxima, low angle first, 10 to 90 degrees two-theta:
d/Å	Position (°2θ)	I_rel	index
7.067	12.53	100.0	1 0 0
3.728	23.87	22.0	1 1 2
3.566	24.97	25.7	1 2 0
3.003	29.75	39.2	1 1 -3
2.991	29.88	37.0	1 2 -2
2.924	30.57	28.4	1 1 3
2.731	32.79	29.4	2 1 2
2.685	33.37	39.2	2 2 0
2.665	33.63	22.4	0 0 4
2.446	36.74	27.8	0 3 2
2.426	37.05	16.7	2 2 -2
2.186	41.31	17.3	3 0 -2

Structure:
Cell: 7.072 8.261 10.666 Å, 90.00 92.20 90.00°
Space group P2_1/c (No. 14)
One atom of each set of equivalent atoms:
Li: 0.085 0.198 0.068 x4
Ca: 0.211 0.015 0.774 x4
Ca: 0.289 0.042 0.396 x4
Ca: 0.335 0.641 0.594 x4
Ga: 0.454 0.230 0.146 x4